# Cd25Pd9
Calculated powder diffractogram, Cu Kα X-rays. Input: the GGA-PBE geometry in OQMD.
Kinematic intensities with the Lorentz-polarization factor, no thermal factor.

Structural model:
```
data_Cd25Pd9
_space_group_name_H-M_alt 'P 1'
_space_group_IT_number 1
_space_group_name_Hall 'P 1'
_cell_length_a 8.072
_cell_length_b 8.072
_cell_length_c 11.604
_cell_angle_alpha 90.00
_cell_angle_beta 90.00
_cell_angle_gamma 120.00
loop_
_atom_site_label
_atom_site_type_symbol
_atom_site_fract_x
_atom_site_fract_y
_atom_site_fract_z
Cd1 Cd 0.000 0.000 0.000
Cd2 Cd 0.000 0.000 0.258
Cd3 Cd 0.000 0.000 0.742
Cd4 Cd 0.031 0.687 0.574
Cd5 Cd 0.051 0.376 0.934
Cd6 Cd 0.060 0.670 0.310
Cd7 Cd 0.313 0.344 0.574
Cd8 Cd 0.325 0.949 0.934
Cd9 Cd 0.330 0.390 0.310
Cd10 Cd 0.333 0.667 0.118
Cd11 Cd 0.333 0.667 0.741
Cd12 Cd 0.344 0.031 0.426
Cd13 Cd 0.376 0.325 0.066
Cd14 Cd 0.390 0.060 0.690
Cd15 Cd 0.610 0.940 0.310
Cd16 Cd 0.624 0.675 0.934
Cd17 Cd 0.656 0.969 0.574
Cd18 Cd 0.667 0.333 0.259
Cd19 Cd 0.667 0.333 0.882
Cd20 Cd 0.670 0.610 0.690
Cd21 Cd 0.675 0.051 0.066
Cd22 Cd 0.687 0.656 0.426
Cd23 Cd 0.940 0.330 0.690
Cd24 Cd 0.949 0.624 0.066
Cd25 Cd 0.969 0.313 0.426
Pd1 Pd 0.000 0.000 0.500
Pd2 Pd 0.001 0.329 0.179
Pd3 Pd 0.329 0.329 0.821
Pd4 Pd 0.329 0.999 0.179
Pd5 Pd 0.333 0.667 0.468
Pd6 Pd 0.667 0.333 0.532
Pd7 Pd 0.671 0.001 0.821
Pd8 Pd 0.671 0.671 0.179
Pd9 Pd 0.999 0.671 0.821
```

Largest 10 diffraction maxima, in order of rising 2θ, 2θ from 10° to 80°:
2.593 Å, I 19.5
2.576 Å, I 16.0
2.356 Å, I 97.1
2.330 Å, I 100.0
2.182 Å, I 14.4
1.657 Å, I 21.4
1.482 Å, I 10.0
1.365 Å, I 13.3
1.350 Å, I 17.6
1.345 Å, I 9.9